# 1
Calculated X-ray diffraction stick pattern of SnBi2Te4 for Cu Kα, from a cell relaxed with GGA-PBE.
No peak broadening, texture or thermal motion is included.

Structural model:
Cell: 4.4745 4.4745 42.2834 Å, 90.00 90.00 120.00°
Space group R-3m (No. 166, hexagonal axes)
Unique sites:
Sn: 0.0000 0.0000 0.0000
Bi: 0.0000 0.0000 0.4268
Te: 0.0000 0.0000 0.1337
Te: 0.0000 0.0000 0.2885

Most intense lines, 10 to 90 degrees two-theta, by intensity:
- (1 0 7), 27.34 deg, 3.262 Å, rel. 100.0
- (0 1 14), 37.76 deg, 2.382 Å, rel. 37.5
- (1 1 0), 40.31 deg, 2.237 Å, rel. 37.5
- (0 2 7), 49.40 deg, 1.845 Å, rel. 20.1
- (2 1 7), 65.59 deg, 1.423 Å, rel. 17.3
- (1 1 21), 62.01 deg, 1.497 Å, rel. 14.3
- (2 0 14), 56.42 deg, 1.631 Å, rel. 11.8
- (1 2 14), 71.60 deg, 1.318 Å, rel. 11.8
- (0 0 6), 12.56 deg, 7.047 Å, rel. 8.2
- (3 0 0), 73.29 deg, 1.292 Å, rel. 6.6


# 2
Calculated X-ray diffraction stick pattern of SnBi2Te4 for Cu Kα, from a cell relaxed with GGA-PBE.
No peak broadening, texture or thermal motion is included.

Structural model:
Cell: 29.606 4.454 23.357 Å, 90.00 123.84 90.00°
Space group Cm (No. 8)
Unique sites:
Sn: 0.000 0.000 0.000
Sn: 0.004 0.000 0.731
Sn: 0.099 0.500 0.924
Sn: 0.135 0.500 0.223
Sn: 0.381 0.000 0.241
Bi: 0.001 0.500 0.219
Bi: 0.101 0.500 0.644
Bi: 0.196 0.000 0.842
Bi: 0.197 0.000 0.127
Bi: 0.213 0.000 0.414
Bi: 0.288 0.500 0.045
Bi: 0.314 0.500 0.610
Bi: 0.403 0.000 0.523
Bi: 0.405 0.000 0.809
Bi: 0.493 0.500 0.447
Te: 0.009 0.000 0.868
Te: 0.030 0.000 0.154
Te: 0.085 0.500 0.506
Te: 0.094 0.500 0.784
Te: 0.108 0.500 0.065
Te: 0.128 0.500 0.354
Te: 0.186 0.000 0.703
Te: 0.194 0.000 0.984
Te: 0.220 0.000 0.274
Te: 0.227 0.000 0.553
Te: 0.280 0.500 0.902
Te: 0.289 0.500 0.180
Te: 0.311 0.500 0.469
Te: 0.321 0.500 0.749
Te: 0.377 0.000 0.104
Te: 0.401 0.000 0.393
Te: 0.412 0.000 0.670
Te: 0.417 0.000 0.945
Te: 0.472 0.500 0.297
Te: 0.496 0.500 0.587

Most intense lines, 10 to 90 degrees two-theta, by intensity:
- (4 0 -7), 26.98 deg, 3.304 Å, rel. 100.0
- (1 1 7), 40.19 deg, 2.244 Å, rel. 32.9
- (6 0 -8), 30.67 deg, 2.915 Å, rel. 19.8
- (9 1 -7), 36.78 deg, 2.444 Å, rel. 19.3
- (15 1 -15), 65.72 deg, 1.421 Å, rel. 17.2
- (0 2 0), 40.51 deg, 2.227 Å, rel. 16.9
- (4 2 -7), 49.32 deg, 1.848 Å, rel. 13.1
- (11 1 -8), 41.90 deg, 2.156 Å, rel. 12.1
- (10 0 0), 36.54 deg, 2.459 Å, rel. 10.3
- (4 0 -2), 12.01 deg, 7.370 Å, rel. 7.7


# 3
Calculated X-ray diffraction stick pattern of Sn3BiTe4 for Cu Kα, from a cell relaxed with GGA-PBE.
No peak broadening, texture or thermal motion is included.

Structural model:
Cell: 4.6641 4.6641 42.2205 Å, 90.00 90.00 120.00°
Space group R-3m (No. 166, hexagonal axes)
Unique sites:
Sn: 0.0000 0.0000 0.0000
Sn: 0.0000 0.0000 0.2510
Bi: 0.0000 0.0000 0.5000
Te: 0.0000 0.0000 0.1253
Te: 0.0000 0.0000 0.3754

Most intense lines, 10 to 90 degrees two-theta, by intensity:
- (0 1 8), 27.81 deg, 3.208 Å, rel. 100.0
- (1 1 0), 38.61 deg, 2.332 Å, rel. 42.1
- (1 0 16), 40.85 deg, 2.209 Å, rel. 36.4
- (2 0 8), 48.25 deg, 1.886 Å, rel. 22.4
- (1 2 8), 63.43 deg, 1.467 Å, rel. 19.9
- (1 1 24), 66.59 deg, 1.404 Å, rel. 17.2
- (2 1 16), 71.38 deg, 1.321 Å, rel. 14.2
- (0 2 16), 57.46 deg, 1.604 Å, rel. 13.3
- (3 1 8), 89.41 deg, 1.096 Å, rel. 8.3
- (3 0 0), 69.86 deg, 1.346 Å, rel. 7.5


# 4
Calculated X-ray diffraction stick pattern of Sr2Bi for Cu Kα, from a cell relaxed with GGA-PBE.
No peak broadening, texture or thermal motion is included.

Structural model:
Cell: 5.153 5.153 18.156 Å, 90.00 90.00 90.00°
Space group I4/mmm (No. 139)
Unique sites:
Sr: 0.000 0.000 0.177
Sr: 0.000 0.500 0.000
Bi: 0.000 0.000 0.364

Most intense lines, 10 to 90 degrees two-theta, by intensity:
- (1 1 4), 31.49 deg, 2.841 Å, rel. 100.0
- (2 0 0), 34.82 deg, 2.576 Å, rel. 58.2
- (1 1 2), 26.36 deg, 3.381 Å, rel. 46.8
- (1 1 0), 24.43 deg, 3.643 Å, rel. 41.1
- (1 0 1), 17.89 deg, 4.957 Å, rel. 36.4
- (3 1 4), 60.36 deg, 1.534 Å, rel. 31.9
- (1 0 5), 30.11 deg, 2.968 Å, rel. 28.4
- (2 0 6), 46.28 deg, 1.962 Å, rel. 22.2
- (1 0 7), 38.87 deg, 2.317 Å, rel. 21.1
- (2 2 0), 50.07 deg, 1.822 Å, rel. 20.9


# 5
Calculated X-ray diffraction stick pattern of Sr2Bi3 for Cu Kα, from a cell relaxed with GGA-PBE.
No peak broadening, texture or thermal motion is included.

Structural model:
Cell: 15.725 6.896 6.699 Å, 90.00 90.00 90.00°
Space group Pnna (No. 52)
Unique sites:
Sr: 0.000 0.250 0.250
Sr: 0.250 0.000 0.059
Bi: 0.070 0.750 0.250
Bi: 0.154 0.063 0.578

Most intense lines, 10 to 90 degrees two-theta, by intensity:
- (4 1 1), 29.35 deg, 3.043 Å, rel. 100.0
- (1 1 2), 30.20 deg, 2.959 Å, rel. 86.4
- (0 1 1), 18.47 deg, 4.805 Å, rel. 85.5
- (2 2 0), 28.26 deg, 3.158 Å, rel. 84.3
- (2 3 0), 40.88 deg, 2.208 Å, rel. 73.3
- (6 1 1), 39.16 deg, 2.301 Å, rel. 65.3
- (0 2 2), 37.43 deg, 2.402 Å, rel. 64.8
- (2 0 2), 28.98 deg, 3.081 Å, rel. 62.6
- (5 0 1), 31.42 deg, 2.847 Å, rel. 58.1
- (4 1 0), 26.09 deg, 3.415 Å, rel. 56.9


# 6
Calculated X-ray diffraction stick pattern of Sr3Bi for Cu Kα, from a cell relaxed with GGA-PBE.
No peak broadening, texture or thermal motion is included.

Structural model:
Cell: 7.7859 7.7859 6.2964 Å, 90.00 90.00 120.00°
Space group P6_3/mmc (No. 194)
Unique sites:
Sr: 0.1712 0.3423 0.2500
Bi: 0.3333 0.6667 0.7500

Most intense lines, 10 to 90 degrees two-theta, by intensity:
- (2 0 1), 30.07 deg, 2.972 Å, rel. 100.0
- (0 0 2), 28.35 deg, 3.148 Å, rel. 25.9
- (2 2 2), 55.50 deg, 1.656 Å, rel. 23.7
- (2 0 0), 26.44 deg, 3.371 Å, rel. 23.1
- (2 0 3), 51.27 deg, 1.782 Å, rel. 22.6
- (2 2 0), 46.66 deg, 1.946 Å, rel. 19.8
- (4 0 1), 56.51 deg, 1.628 Å, rel. 16.8
- (2 0 2), 39.15 deg, 2.301 Å, rel. 16.4
- (1 0 1), 19.29 deg, 4.602 Å, rel. 15.7
- (4 2 1), 76.23 deg, 1.249 Å, rel. 14.0